This entry pairs a crystal structure of RbBaF3 with its computed powder diffraction line list. Radiation: Cu Kα (λ = 1.5418 Å). Structure: the GGA-PBE geometry in Alexandria.
Neutral-atom scattering factors, no anomalous dispersion.

Structure:
Cell: 8.4427 4.6284 6.5689 Å, 90.00 90.00 90.00°
Element x y z (fractional)
Rb (0.0000, 0.0000, 0.0000)
Rb (0.5000, 0.0000, 0.0000)
Ba (0.2500, 0.5000, 0.4449)
Ba (0.7500, 0.5000, 0.5551)
F (0.0392, 0.5000, 0.7335)
F (0.2500, 0.0000, 0.2777)
F (0.4608, 0.5000, 0.7335)
F (0.5392, 0.5000, 0.2665)
F (0.7500, 0.0000, 0.7223)
F (0.9608, 0.5000, 0.2665)

Largest 10 diffraction maxima, in order of falling intensity, 2θ from 15° to 90°:
d 3.784, intensity 100; d 3.551, intensity 85; d 2.262, intensity 66; d 3.119, intensity 36; d 1.939, intensity 30; d 1.844, intensity 30; d 2.314, intensity 23; d 2.111, intensity 18; d 5.184, intensity 14; d 1.942, intensity 13